Calculated X-ray diffraction stick pattern
Compound: Sr2AcTe3
Radiation: Cu Kα, 1.54184 Å
Structure: a GGA-PBE-relaxed structure

Structure:
a = 4.722 Å, b = 6.700 Å, c = 14.222 Å
α = 90.00°, β = 90.00°, γ = 90.00°
Space group Immm (No. 71)
Inequivalent atoms, fractional coordinates:
Sr  0.000  0.000  0.167 [4 per cell]
Ac  0.000  0.000  0.500 [2 per cell]
Te  0.000  0.500  0.168 [4 per cell]
Te  0.000  0.500  0.500 [2 per cell]

Most intense lines, 2θ = 5–70°, most intense first:
- (1 0 3), 26.63 deg, d 3.347, I 100
- (1 2 3), 38.00 deg, d 2.368, I 65
- (2 2 6), 61.97 deg, d 1.497, I 31
- (0 2 6), 46.96 deg, d 1.935, I 14
- (2 2 0), 47.09 deg, d 1.930, I 14
- (1 2 9), 68.61 deg, d 1.368, I 14
- (2 0 6), 54.86 deg, d 1.673, I 13
- (2 0 0), 38.12 deg, d 2.361, I 13
- (3 2 3), 68.82 deg, d 1.364, I 9
- (0 1 1), 14.62 deg, d 6.061, I 7